Tb4SbRu2: theoretical PXRD pattern (CuKα), based on DFT lattice parameters and positions (PBE).
No peak broadening, texture or thermal motion is included.

Main lines, low angle first (2θ = 10–90°):
29.1°, I = 35
29.9°, I = 53
31.2°, I = 39
33.8°, I = 44
34.4°, I = 41
34.9°, I = 100
35.4°, I = 20
35.6°, I = 19
39.5°, I = 26
46.2°, I = 16

Cell and atoms:
Cell lengths 8.0950, 8.0950, 6.3464 Å; angles 104.85, 104.85, 110.67 degrees
Element x y z (fractional)
Tb  0.0004  0.3346  0.6264
Tb  0.0608  0.9392  0.5000
Tb  0.1988  0.5552  0.2777
Tb  0.3346  0.0004  0.1264
Tb  0.4795  0.6467  0.8725
Tb  0.5552  0.1988  0.7777
Tb  0.6467  0.4795  0.3725
Tb  0.9392  0.0608  0.0000
Sb  0.6410  0.8895  0.4415
Sb  0.8895  0.6410  0.9415
Ru  0.1356  0.7125  0.6967
Ru  0.2863  0.2921  0.9570
Ru  0.2921  0.2863  0.4570
Ru  0.7125  0.1356  0.1967